Theoretical PXRD pattern of V3O5F for Cu Ka, from a DFT-relaxed cell (GGA+U, Alexandria).
Neutral-atom scattering factors, no anomalous dispersion.

Crystal structure
```
data_V3O5F
_symmetry_space_group_name_H-M 'P 1 2/m 1'
_symmetry_Int_Tables_number 10
_cell_length_a 4.6243
_cell_length_b 3.0406
_cell_length_c 13.8719
_cell_angle_alpha 90.00
_cell_angle_beta 92.84
_cell_angle_gamma 90.00
loop_
_symmetry_equiv_pos_as_xyz
'x,y,z'
'-x,-y,-z'
'-x,y,-z'
'x,-y,z'
loop_
_atom_site_label
_atom_site_fract_x
_atom_site_fract_y
_atom_site_fract_z
V1 0.0000 0.0000 0.0000
V2 0.0219 0.0000 0.6575
V3 0.4668 0.5000 0.8431
V4 0.5000 0.5000 0.5000
O1 0.2000 0.5000 0.6007
O2 0.2043 0.5000 0.9330
O3 0.2915 0.0000 0.4305
O4 0.2981 0.0000 0.7651
O5 0.3062 0.0000 0.1057
F1 0.1914 0.5000 0.2690
```

Top 8 peaks for 2θ = 10–80°, in order of falling intensity:
(1 1 0), 2θ 35.3, I 100.0
(1 0 -3), 2θ 26.6, I 94.9
(1 0 3), 2θ 28.0, I 94.8
(2 1 -3), 2θ 52.9, I 57.0
(2 1 3), 2θ 54.4, I 54.0
(0 1 9), 2θ 68.3, I 40.1
(1 1 -3), 2θ 40.0, I 21.0
(1 1 3), 2θ 41.0, I 19.3